Simulated powder diffractogram
Compound: CsGaSe3
Radiation: Cu Kα X-rays
Structure: a structure optimized by DFT (GGA-PBE)
Intensities are scaled so that the largest is 100.

Cell: 7.0337 7.8566 7.8623 Å, 114.62 102.79 102.97°
Atoms (fractional coordinates):
Cs 0.0000 0.0000 0.0000
Cs 0.4995 0.6669 0.3325
Ga 0.1013 0.3945 0.6803
Ga 0.6010 0.3472 0.7262
Se 0.0681 0.0382 0.5195
Se 0.3812 0.0714 0.7473
Se 0.4608 0.6147 0.8098
Se 0.5700 0.1886 0.3707
Se 0.8840 0.4185 0.4064
Se 0.9597 0.4761 0.9468

Main lines, sorted by position (2θ = 15–90°):
h k l	two_theta	intensity
1 1 0	22.40	24
0 1 -2	23.22	27
1 0 -2	25.32	100
2 0 0	27.86	34
1 2 -2	30.42	49
2 -2 0	31.04	23
2 -1 2	40.23	20
-2 2 2	43.56	21
0 4 -2	47.47	20
2 2 -4	50.25	20